For HfSe4Cl6, a PBE-relaxed structure gives the simulated X-ray diffraction stick pattern in this record (Cu Kα (λ = 1.5418 Å)).

Top 10 peaks for 2θ = 10–90°, by angle:
d 5.558, I 100.0; d 3.929, I 37.5; d 3.704, I 9.4; d 3.348, I 20.9; d 3.207, I 13.4; d 2.970, I 16.3; d 2.550, I 30.2; d 2.269, I 9.6; d 2.137, I 38.3; d 1.878, I 23.6

```
HfSe4Cl6
1.0
11.102 0.000 0.000
0.000 11.102 0.000
0.000 0.000 11.129
Hf Se Cl
4 16 24
direct
0.000 0.000 0.000
0.000 0.500 0.500
0.500 0.000 0.500
0.500 0.500 0.000
0.090 0.090 0.421
0.090 0.410 0.921
0.105 0.605 0.000
0.105 0.895 0.500
0.395 0.605 0.500
0.395 0.895 0.000
0.410 0.090 0.921
0.410 0.410 0.421
0.590 0.590 0.579
0.590 0.910 0.079
0.605 0.105 0.000
0.605 0.395 0.500
0.895 0.105 0.500
0.895 0.395 0.000
0.910 0.590 0.079
0.910 0.910 0.579
0.055 0.669 0.636
0.055 0.831 0.136
0.132 0.132 0.113
0.132 0.368 0.613
0.169 0.555 0.364
0.169 0.945 0.864
0.331 0.555 0.864
0.331 0.945 0.364
0.368 0.132 0.613
0.368 0.368 0.113
0.445 0.669 0.136
0.445 0.831 0.636
0.555 0.169 0.364
0.555 0.331 0.864
0.632 0.632 0.887
0.632 0.868 0.387
0.669 0.055 0.636
0.669 0.445 0.136
0.831 0.055 0.136
0.831 0.445 0.636
0.868 0.632 0.387
0.868 0.868 0.887
0.945 0.169 0.864
0.945 0.331 0.364
```

For Li4Bi2O5, a PBE-relaxed structure gives the simulated X-ray diffraction stick pattern in this record (Cu Kα (λ = 1.5418 Å)).

Top 10 peaks for 2θ = 10–90°, by angle:
d 7.483, I 69.6; d 4.937, I 48.8; d 4.892, I 62.1; d 4.736, I 100.0; d 3.657, I 95.3; d 3.474, I 73.8; d 3.410, I 84.1; d 3.146, I 49.1; d 2.904, I 64.2; d 2.766, I 79.7

```
Li4Bi2O5
1.0
5.541 0.000 0.000
2.395 7.309 0.000
2.666 -0.769 7.483
Li Bi O
8 4 10
direct
0.110 0.328 0.487
0.136 0.011 0.845
0.141 0.646 0.162
0.327 0.189 0.029
0.673 0.811 0.971
0.859 0.354 0.838
0.864 0.989 0.155
0.890 0.672 0.513
0.315 0.599 0.748
0.347 0.877 0.379
0.653 0.123 0.621
0.685 0.401 0.252
0.029 0.517 0.678
0.042 0.784 0.968
0.044 0.117 0.626
0.468 0.056 0.202
0.484 0.354 0.858
0.516 0.646 0.142
0.532 0.944 0.798
0.956 0.883 0.374
0.958 0.216 0.032
0.971 0.483 0.322
```

For RbSrO3, a PBE-relaxed structure gives the simulated X-ray diffraction stick pattern in this record (Cu Kα (λ = 1.5418 Å)).

Top 10 peaks for 2θ = 10–90°, by angle:
d 3.432, I 100.0; d 2.802, I 3.9; d 2.426, I 39.5; d 1.981, I 43.3; d 1.716, I 25.4; d 1.535, I 19.3; d 1.401, I 8.2; d 1.297, I 22.5; d 1.213, I 3.8; d 1.144, I 11.7

```
RbSrO3
1.0
4.853 0.000 0.000
0.000 4.853 0.000
0.000 0.000 4.853
Rb Sr O
1 1 3
direct
0.000 0.000 0.000
0.500 0.500 0.500
0.000 0.500 0.500
0.500 0.000 0.500
0.500 0.500 0.000
```

For SrIn2Cu2, a PBE-relaxed structure gives the simulated X-ray diffraction stick pattern in this record (Cu Kα (λ = 1.5418 Å)).

Top 10 peaks for 2θ = 10–90°, by angle:
d 5.776, I 17.1; d 2.904, I 21.6; d 2.749, I 100.0; d 2.211, I 45.9; d 2.121, I 28.2; d 2.048, I 16.8; d 1.563, I 14.8; d 1.502, I 11.8; d 1.359, I 21.4; d 1.209, I 10.0

```
SrIn2Cu2
1.0
-2.211 2.211 5.776
2.211 -2.211 5.776
2.211 2.211 -5.776
Sr In Cu
1 2 2
direct
0.000 0.000 0.000
0.250 0.750 0.500
0.750 0.250 0.500
0.392 0.392 0.000
0.608 0.608 0.000
```

For PrSmCo4Ni6, a PBE-relaxed structure gives the simulated X-ray diffraction stick pattern in this record (Cu Kα (λ = 1.5418 Å)).

Top 10 peaks for 2θ = 10–90°, by angle:
d 2.931, I 50.5; d 2.479, I 30.2; d 2.147, I 36.8; d 2.109, I 100.0; d 2.005, I 27.4; d 1.559, I 14.0; d 1.465, I 20.9; d 1.349, I 14.7; d 1.239, I 10.4; d 1.177, I 13.9

```
PrSmCo4Ni6
1.0
4.010 0.000 0.000
0.000 4.964 0.000
0.000 0.000 8.581
Pr Sm Co Ni
1 1 4 6
direct
0.000 0.000 0.000
0.000 0.500 0.500
0.000 0.000 0.335
0.000 0.000 0.665
0.000 0.500 0.168
0.000 0.500 0.832
0.500 0.000 0.500
0.500 0.251 0.251
0.500 0.251 0.749
0.500 0.500 0.000
0.500 0.749 0.251
0.500 0.749 0.749
```

For Sm4Sn3, a PBE-relaxed structure gives the simulated X-ray diffraction stick pattern in this record (Cu Kα (λ = 1.5418 Å)).

Top 10 peaks for 2θ = 10–90°, by angle:
d 3.005, I 100.0; d 2.539, I 65.8; d 2.125, I 10.5; d 1.940, I 17.2; d 1.863, I 24.1; d 1.541, I 26.2; d 1.502, I 12.3; d 1.466, I 14.8; d 1.293, I 16.5; d 1.105, I 11.3

```
Sm4Sn3
1.0
-4.751 4.751 4.751
4.751 -4.751 4.751
4.751 4.751 -4.751
Sm Sn
8 6
direct
0.000 0.141 0.500
0.000 0.641 0.500
0.141 0.500 0.000
0.359 0.359 0.359
0.500 0.000 0.141
0.500 0.000 0.641
0.641 0.500 0.000
0.859 0.859 0.859
0.125 0.875 0.250
0.250 0.125 0.875
0.375 0.625 0.750
0.625 0.750 0.375
0.750 0.375 0.625
0.875 0.250 0.125
```

For Ce2CuBiS5, a PBE-relaxed structure gives the simulated X-ray diffraction stick pattern in this record (Cu Kα (λ = 1.5418 Å)).

Top 10 peaks for 2θ = 10–90°, by angle:
d 4.261, I 51.2; d 3.900, I 51.8; d 3.626, I 61.8; d 3.276, I 80.6; d 3.245, I 57.4; d 3.135, I 100.0; d 2.819, I 95.0; d 2.373, I 58.4; d 1.997, I 56.4; d 1.979, I 53.1

```
Ce2CuBiS5
1.0
12.019 0.000 0.000
0.000 3.957 0.000
0.000 0.000 17.045
Ce Cu Bi S
8 4 4 20
direct
0.038 0.250 0.176
0.124 0.750 0.599
0.376 0.250 0.099
0.462 0.750 0.676
0.538 0.250 0.324
0.624 0.750 0.901
0.876 0.250 0.401
0.962 0.750 0.824
0.096 0.750 0.997
0.404 0.250 0.497
0.596 0.750 0.503
0.904 0.250 0.003
0.199 0.750 0.363
0.301 0.250 0.863
0.699 0.750 0.137
0.801 0.250 0.637
0.012 0.250 0.702
0.082 0.250 0.923
0.105 0.250 0.471
0.194 0.750 0.111
0.235 0.750 0.764
0.265 0.250 0.264
0.306 0.250 0.611
0.395 0.750 0.971
0.418 0.750 0.423
0.488 0.750 0.202
0.512 0.250 0.798
0.582 0.250 0.577
0.605 0.250 0.029
0.694 0.750 0.389
0.735 0.750 0.736
0.765 0.250 0.236
0.806 0.250 0.889
0.895 0.750 0.529
0.918 0.750 0.077
0.988 0.750 0.298
```

For Na3CaInP2SO12, a PBE-relaxed structure gives the simulated X-ray diffraction stick pattern in this record (Cu Kα (λ = 1.5418 Å)).

Top 10 peaks for 2θ = 10–90°, by angle:
d 6.607, I 67.8; d 4.677, I 74.2; d 4.627, I 35.1; d 3.977, I 51.0; d 3.304, I 28.0; d 2.961, I 100.0; d 2.940, I 62.1; d 2.682, I 59.4; d 2.666, I 26.2; d 1.989, I 32.7

```
Na3CaInP2SO12
1.0
7.999 -4.654 0.000
7.999 4.654 0.000
-5.409 0.000 7.665
Na Ca In P S O
6 2 2 4 2 24
direct
0.065 0.935 0.500
0.309 0.836 0.240
0.573 0.709 0.997
0.709 0.573 0.497
0.836 0.309 0.740
0.935 0.065 0.000
0.458 0.974 0.683
0.974 0.458 0.183
0.150 0.659 0.778
0.659 0.150 0.278
0.047 0.262 0.471
0.262 0.047 0.971
0.765 0.863 0.479
0.863 0.765 0.979
0.373 0.558 0.493
0.558 0.373 0.993
0.010 0.281 0.304
0.037 0.753 0.976
0.080 0.429 0.634
0.088 0.197 0.989
0.197 0.088 0.489
0.218 0.526 0.341
0.257 0.877 0.971
0.281 0.010 0.804
0.352 0.591 0.656
0.393 0.711 0.501
0.404 0.538 0.977
0.429 0.080 0.134
0.526 0.218 0.841
0.538 0.404 0.477
0.591 0.352 0.156
0.599 0.878 0.494
0.707 0.794 0.816
0.711 0.393 0.001
0.753 0.037 0.476
0.794 0.707 0.316
0.838 0.932 0.147
0.877 0.257 0.471
0.878 0.599 0.994
0.932 0.838 0.647
```